For KPu2MnI8, the GGA-PBE geometry in Alexandria gives the theoretical powder XRD pattern in this record (λ = 1.5418 Å (Cu Kα)).
Intensities are scaled so that the largest is 100.

Most intense lines, 10 to 80 degrees two-theta, sorted by position:
2θ (°), I/Imax
11.63, 29
12.25, 23
16.49, 40
17.34, 34
24.99, 100
27.03, 54
32.82, 50
33.73, 43
37.80, 25
40.30, 46

Crystal structure
```
data_KPu2MnI8
_chemical_formula_sum 'K1 Pu2 Mn1 I8'
_space_group_name_H-M_alt 'P 1 2/m 1'
_space_group_IT_number 10
_cell_length_a 7.237
_cell_length_b 9.519
_cell_length_c 7.618
_cell_angle_alpha 90.00
_cell_angle_beta 92.88
_cell_angle_gamma 90.00
loop_
_space_group_symop_operation_xyz
'x,y,z'
'-x,-y,-z'
'-x,y,-z'
'x,-y,z'
loop_
_atom_site_label
_atom_site_fract_x
_atom_site_fract_y
_atom_site_fract_z
K1 0.000 0.000 0.000
Pu1 0.500 0.260 0.500
Mn1 0.000 0.500 0.000
I1 0.233 0.289 0.157
I2 0.253 0.500 0.667
I3 0.273 0.000 0.638
```

For MgZr3In, the GGA-PBE geometry in Alexandria gives the theoretical powder XRD pattern in this record (λ = 1.5418 Å (Cu Kα)).
Intensities are scaled so that the largest is 100.

Most intense lines, 10 to 80 degrees two-theta, sorted by position:
2θ (°), I/Imax
13.26, 33
33.92, 100
34.76, 92
34.93, 92
35.07, 90
39.82, 64
40.23, 61
40.71, 60
57.23, 22
69.52, 22

Crystal structure
```
data_MgZr3In
_chemical_formula_sum 'Mg2 Zr6 In2'
_space_group_name_H-M_alt 'P -1'
_space_group_IT_number 2
_cell_length_a 5.558
_cell_length_b 6.291
_cell_length_c 7.026
_cell_angle_alpha 102.41
_cell_angle_beta 99.12
_cell_angle_gamma 105.46
loop_
_space_group_symop_operation_xyz
'x,y,z'
'-x,-y,-z'
loop_
_atom_site_label
_atom_site_fract_x
_atom_site_fract_y
_atom_site_fract_z
Mg1 0.001 0.252 0.000
Zr1 0.205 0.148 0.404
Zr2 0.404 0.062 0.818
Zr3 0.404 0.539 0.796
In1 0.200 0.655 0.398
```

For BaNbGa2O6, the GGA-PBE geometry in Alexandria gives the theoretical powder XRD pattern in this record (λ = 1.5418 Å (Cu Kα)).
Intensities are scaled so that the largest is 100.

Most intense lines, 10 to 80 degrees two-theta, sorted by position:
2θ (°), I/Imax
14.08, 55
19.76, 28
21.39, 43
26.99, 48
28.37, 36
30.56, 20
33.55, 77
44.49, 100
59.98, 27
69.33, 20

Crystal structure
```
data_BaNbGa2O6
_chemical_formula_sum 'Ba3 Nb3 Ga6 O18'
_space_group_name_H-M_alt 'R -3'
_space_group_IT_number 148
_space_group_name_Hall '-R 3'
_cell_length_a 5.3427
_cell_length_b 5.3427
_cell_length_c 18.8744
_cell_angle_alpha 90.00
_cell_angle_beta 90.00
_cell_angle_gamma 120.00
loop_
_atom_site_label
_atom_site_fract_x
_atom_site_fract_y
_atom_site_fract_z
Ba1 0.0000 0.0000 0.0000
Nb1 0.0000 0.0000 0.5000
Ga1 0.0000 0.0000 0.1782
O1 0.0008 0.6728 0.8889
```

For CsMg2Te, the GGA-PBE geometry in Alexandria gives the theoretical powder XRD pattern in this record (λ = 1.5418 Å (Cu Kα)).
Intensities are scaled so that the largest is 100.

Most intense lines, 10 to 80 degrees two-theta, sorted by position:
2θ (°), I/Imax
18.50, 94
26.28, 71
28.03, 100
37.50, 25
38.80, 81
42.13, 31
47.47, 22
54.38, 20
55.06, 29
62.01, 20

Crystal structure
```
data_CsMg2Te
_chemical_formula_sum 'Cs4 Mg8 Te4'
_space_group_name_H-M_alt 'I -4 2 d'
_space_group_IT_number 122
_space_group_name_Hall 'I -4 2bw'
_cell_length_a 9.593
_cell_length_b 9.593
_cell_length_c 7.209
_cell_angle_alpha 90.00
_cell_angle_beta 90.00
_cell_angle_gamma 90.00
loop_
_atom_site_label
_atom_site_fract_x
_atom_site_fract_y
_atom_site_fract_z
Cs1 0.000 0.000 0.000
Mg1 0.172 0.750 0.625
Te1 0.000 0.000 0.500
```

For TmH8IrPd2, the GGA-PBE geometry in Alexandria gives the theoretical powder XRD pattern in this record (λ = 1.5418 Å (Cu Kα)).
Intensities are scaled so that the largest is 100.

Most intense lines, 10 to 80 degrees two-theta, sorted by position:
2θ (°), I/Imax
20.48, 35
24.64, 100
33.06, 62
36.47, 35
36.93, 48
38.23, 40
38.66, 39
41.00, 22
41.66, 48
52.22, 19

Crystal structure
```
data_TmH8IrPd2
_chemical_formula_sum 'Tm1 H8 Ir1 Pd2'
_space_group_name_H-M_alt 'P -1'
_space_group_IT_number 2
_cell_length_a 4.516
_cell_length_b 4.524
_cell_length_c 5.752
_cell_angle_alpha 93.04
_cell_angle_beta 91.15
_cell_angle_gamma 106.18
loop_
_space_group_symop_operation_xyz
'x,y,z'
'-x,-y,-z'
loop_
_atom_site_label
_atom_site_fract_x
_atom_site_fract_y
_atom_site_fract_z
Tm1 0.000 0.000 0.000
H1 0.206 0.854 0.687
H2 0.214 0.846 0.314
H3 0.274 0.348 0.494
H4 0.288 0.536 0.954
Ir1 0.000 0.000 0.500
Pd1 0.461 0.608 0.228
```

For Pr3Dy2Tl2, the GGA-PBE geometry in Alexandria gives the theoretical powder XRD pattern in this record (λ = 1.5418 Å (Cu Kα)).
Intensities are scaled so that the largest is 100.

Most intense lines, 10 to 80 degrees two-theta, sorted by position:
2θ (°), I/Imax
31.55, 95
32.16, 100
45.63, 23
45.76, 11
55.76, 11
56.96, 36
57.35, 19
65.88, 9
75.15, 8
76.15, 10

Crystal structure
```
data_Pr3Dy2Tl2
_chemical_formula_sum 'Pr6 Dy4 Tl4'
_space_group_name_H-M_alt 'C 1 2/m 1'
_space_group_IT_number 12
_cell_length_a 9.632
_cell_length_b 5.571
_cell_length_c 8.797
_cell_angle_alpha 90.00
_cell_angle_beta 111.55
_cell_angle_gamma 90.00
loop_
_space_group_symop_operation_xyz
'x,y,z'
'-x,-y,-z'
'-x,y,-z'
'x,-y,z'
'x+1/2,y+1/2,z'
'-x+1/2,-y+1/2,-z'
'-x+1/2,y+1/2,-z'
'x+1/2,-y+1/2,z'
loop_
_atom_site_label
_atom_site_fract_x
_atom_site_fract_y
_atom_site_fract_z
Pr1 0.000 0.000 0.000
Pr2 0.157 0.000 0.471
Dy1 0.074 0.500 0.722
Tl1 0.213 0.500 0.139
```